Record 1
Starting from a PBE-relaxed structure, the powder XRD pattern of Na5P3O10 was simulated for a wavelength of 1.5418 Å.
Peak positions follow from Bragg's law for the DFT cell and can differ from measured ones.

```
data_Na5P3O10
_space_group_name_H-M_alt 'C 1 2/c 1'
_space_group_IT_number 15
_space_group_name_Hall '-C 2yc'
_cell_length_a 9.840
_cell_length_b 5.408
_cell_length_c 18.727
_cell_angle_alpha 90.00
_cell_angle_beta 96.86
_cell_angle_gamma 90.00
loop_
_atom_site_label
_atom_site_type_symbol
_atom_site_fract_x
_atom_site_fract_y
_atom_site_fract_z
Na1 Na 0.076 0.235 0.067
Na2 Na 0.215 0.179 0.324
Na3 Na 0.250 0.250 0.500
P1 P 0.000 0.401 0.750
P2 P 0.083 0.272 0.900
O1 O 0.044 0.200 0.813
O2 O 0.044 0.208 0.564
O3 O 0.118 0.452 0.403
O4 O 0.123 0.456 0.232
O5 O 0.204 0.101 0.923
```

Most intense lines, 2θ = 10–80°, by intensity:
| 2θ (°) | intensity | index |
| --- | --- | --- |
| 31.95 | 100 | 3 1 -1 |
| 19.09 | 66 | 1 1 -1 |
| 19.49 | 59 | 2 0 -2 |
| 21.55 | 51 | 2 0 2 |
| 36.13 | 46 | 2 0 6 |
| 28.81 | 46 | 0 0 6 |
| 29.68 | 32 | 1 1 -5 |
| 33.13 | 30 | 0 2 0 |
| 18.75 | 30 | 1 1 0 |
| 31.45 | 29 | 1 1 5 |


Record 2
Starting from a PBE-relaxed structure, the powder XRD pattern of NaPO was simulated for a wavelength of 1.5418 Å.
Peak positions follow from Bragg's law for the DFT cell and can differ from measured ones.

```
data_NaPO
_space_group_name_H-M_alt 'I m m a'
_space_group_IT_number 74
_space_group_name_Hall '-I 2b 2'
_cell_length_a 6.115
_cell_length_b 9.278
_cell_length_c 3.096
_cell_angle_alpha 90.00
_cell_angle_beta 90.00
_cell_angle_gamma 90.00
loop_
_atom_site_label
_atom_site_type_symbol
_atom_site_fract_x
_atom_site_fract_y
_atom_site_fract_z
Na1 Na 0.000 0.000 0.000
P1 P 0.250 0.250 0.250
O1 O 0.000 0.250 0.757
```

Most intense lines, 2θ = 10–80°, by intensity:
| 2θ (°) | intensity | index |
| --- | --- | --- |
| 42.69 | 100 | 2 1 1 |
| 38.82 | 80 | 0 4 0 |
| 19.13 | 70 | 0 2 0 |
| 51.37 | 70 | 2 3 1 |
| 35.15 | 62 | 2 2 0 |
| 37.91 | 38 | 1 2 1 |
| 32.41 | 34 | 1 0 1 |
| 63.34 | 31 | 0 2 2 |
| 66.19 | 23 | 2 5 1 |
| 67.90 | 19 | 2 0 2 |


Record 3
Starting from a PBE-relaxed structure, the powder XRD pattern of NaPO3 was simulated for a wavelength of 1.5418 Å.
Peak positions follow from Bragg's law for the DFT cell and can differ from measured ones.

```
data_NaPO3
_space_group_name_H-M_alt 'P n m a'
_space_group_IT_number 62
_space_group_name_Hall '-P 2ac 2n'
_cell_length_a 7.807
_cell_length_b 8.031
_cell_length_c 13.420
_cell_angle_alpha 90.00
_cell_angle_beta 90.00
_cell_angle_gamma 90.00
loop_
_atom_site_label
_atom_site_type_symbol
_atom_site_fract_x
_atom_site_fract_y
_atom_site_fract_z
Na1 Na 0.037 0.250 0.223
Na2 Na 0.183 0.006 0.573
P1 P 0.024 0.250 0.962
P2 P 0.246 0.568 0.329
O1 O 0.073 0.093 0.890
O2 O 0.105 0.537 0.402
O3 O 0.137 0.250 0.052
O4 O 0.167 0.750 0.028
O5 O 0.219 0.556 0.748
O6 O 0.226 0.750 0.277
```

Most intense lines, 2θ = 10–80°, by intensity:
| 2θ (°) | intensity | index |
| --- | --- | --- |
| 25.82 | 100 | 1 2 1 |
| 22.77 | 60 | 2 0 0 |
| 28.97 | 57 | 1 0 4 |
| 13.12 | 53 | 1 0 1 |
| 31.99 | 50 | 2 2 0 |
| 17.43 | 43 | 1 0 2 |
| 34.85 | 36 | 0 2 4 |
| 17.16 | 32 | 1 1 1 |
| 12.85 | 31 | 0 1 1 |
| 25.49 | 30 | 1 1 3 |


Record 4
Starting from a PBE-relaxed structure, the powder XRD pattern of NaPO3 was simulated for a wavelength of 1.5418 Å.
Peak positions follow from Bragg's law for the DFT cell and can differ from measured ones.

```
data_NaPO3
_space_group_name_H-M_alt 'P 1 21/c 1'
_space_group_IT_number 14
_space_group_name_Hall '-P 2ybc'
_cell_length_a 7.086
_cell_length_b 6.256
_cell_length_c 14.032
_cell_angle_alpha 90.00
_cell_angle_beta 118.67
_cell_angle_gamma 90.00
loop_
_atom_site_label
_atom_site_type_symbol
_atom_site_fract_x
_atom_site_fract_y
_atom_site_fract_z
Na1 Na 0.004 0.126 0.132
Na2 Na 0.259 0.121 0.495
P1 P 0.224 0.633 0.215
P2 P 0.427 0.629 0.610
O1 O 0.077 0.712 0.729
O2 O 0.126 0.020 0.620
O3 O 0.239 0.021 0.055
O4 O 0.350 0.505 0.328
O5 O 0.425 0.740 0.715
O6 O 0.458 0.704 0.042
```

Most intense lines, 2θ = 10–80°, by intensity:
| 2θ (°) | intensity | index |
| --- | --- | --- |
| 28.63 | 100 | 1 1 2 |
| 29.46 | 50 | 2 0 -4 |
| 18.93 | 46 | 1 1 -1 |
| 24.08 | 44 | 1 1 -3 |
| 24.76 | 36 | 1 0 2 |
| 20.13 | 31 | 1 1 0 |
| 20.24 | 30 | 0 1 2 |
| 40.88 | 28 | 3 1 -3 |
| 31.26 | 26 | 1 2 -1 |
| 34.72 | 23 | 1 2 -3 |


Record 5
Starting from a PBE-relaxed structure, the powder XRD pattern of NaP3PbO9 was simulated for a wavelength of 1.5418 Å.
Peak positions follow from Bragg's law for the DFT cell and can differ from measured ones.

```
data_NaP3PbO9
_space_group_name_H-M_alt 'P 21 21 21'
_space_group_IT_number 19
_space_group_name_Hall 'P 2ac 2ab'
_cell_length_a 5.788
_cell_length_b 11.121
_cell_length_c 12.928
_cell_angle_alpha 90.00
_cell_angle_beta 90.00
_cell_angle_gamma 90.00
loop_
_atom_site_label
_atom_site_type_symbol
_atom_site_fract_x
_atom_site_fract_y
_atom_site_fract_z
Na1 Na 0.110 0.106 0.412
P1 P 0.087 0.208 0.686
P2 P 0.102 0.846 0.645
P3 P 0.104 0.582 0.632
Pb1 Pb 0.097 0.472 0.365
O1 O 0.001 0.439 0.925
O2 O 0.020 0.001 0.942
O3 O 0.064 0.096 0.767
O4 O 0.090 0.321 0.764
O5 O 0.100 0.717 0.584
O6 O 0.125 0.712 0.882
O7 O 0.157 0.452 0.168
O8 O 0.167 0.134 0.195
O9 O 0.179 0.798 0.136
```

Most intense lines, 2θ = 10–80°, by intensity:
| 2θ (°) | intensity | index |
| --- | --- | --- |
| 15.88 | 100 | 0 1 2 |
| 23.22 | 41 | 1 2 1 |
| 18.59 | 36 | 1 1 1 |
| 32.73 | 27 | 2 1 1 |
| 17.29 | 27 | 1 1 0 |
| 27.60 | 27 | 0 0 4 |
| 29.44 | 26 | 1 3 1 |
| 27.01 | 25 | 1 1 3 |
| 26.15 | 22 | 1 2 2 |
| 31.83 | 19 | 1 3 2 |


Record 6
Starting from a PBE-relaxed structure, the powder XRD pattern of Na4P6PbO18 was simulated for a wavelength of 1.5418 Å.
Peak positions follow from Bragg's law for the DFT cell and can differ from measured ones.

```
data_Na4P6PbO18
_space_group_name_H-M_alt 'P 1'
_space_group_IT_number 1
_space_group_name_Hall 'P 1'
_cell_length_a 7.390
_cell_length_b 7.946
_cell_length_c 7.956
_cell_angle_alpha 117.71
_cell_angle_beta 95.45
_cell_angle_gamma 101.61
loop_
_atom_site_label
_atom_site_type_symbol
_atom_site_fract_x
_atom_site_fract_y
_atom_site_fract_z
Na1 Na 0.000 0.000 0.000
Na2 Na 0.061 0.575 0.584
Na3 Na 0.354 0.039 0.686
Na4 Na 0.685 0.530 0.838
P1 P 0.412 0.227 0.368
P2 P 0.415 0.874 0.010
P3 P 0.672 0.261 0.125
P4 P 0.688 0.801 0.567
P5 P 0.950 0.182 0.677
P6 P 0.955 0.823 0.325
Pb1 Pb 0.271 0.504 0.148
O1 O 0.100 0.183 0.820
O2 O 0.109 0.767 0.409
O3 O 0.255 0.279 0.281
O4 O 0.259 0.870 0.871
O5 O 0.386 0.991 0.232
O6 O 0.438 0.273 0.573
O7 O 0.449 0.684 0.980
O8 O 0.476 0.733 0.517
O9 O 0.545 0.318 0.011
O10 O 0.614 0.018 0.024
O11 O 0.614 0.321 0.334
O12 O 0.747 0.043 0.662
O13 O 0.754 0.734 0.361
O14 O 0.801 0.747 0.692
O15 O 0.882 0.327 0.160
O16 O 0.925 0.375 0.707
O17 O 0.927 0.775 0.118
O18 O 0.984 0.060 0.459
```

Most intense lines, 2θ = 10–80°, by intensity:
| 2θ (°) | intensity | index |
| --- | --- | --- |
| 13.05 | 100 | 0 1 -1 |
| 12.88 | 75 | 0 0 1 |
| 29.93 | 73 | 1 2 -2 |
| 28.69 | 67 | -2 1 1 |
| 23.82 | 61 | 1 -2 1 |
| 15.91 | 59 | 1 0 -1 |
| 34.52 | 56 | 1 -3 1 |
| 27.69 | 52 | 2 -1 1 |
| 19.88 | 52 | 1 0 1 |
| 28.94 | 52 | 1 1 1 |